No. 1
Tb4NiB13: simulated powder diffraction line list (Cu Kα), based on a cell relaxed with GGA-PBE.
Peak positions follow from Bragg's law for the DFT cell and can differ from measured ones.

Crystal structure
```
36
Lattice="7.3350 0.0000 0.0000 0.0000 7.3350 0.0000 0.0000 0.0000 6.9366" Properties=species:S:1:pos:R:3 pbc="T T T"
Tb 1.3195 2.3142 0.0000
Tb 1.3533 2.3480 3.4683
Tb 2.3142 6.0155 0.0000
Tb 2.3480 5.9817 3.4683
Tb 4.9870 1.3533 3.4683
Tb 5.0208 1.3195 0.0000
Tb 5.9817 4.9870 3.4683
Tb 6.0155 5.0208 0.0000
Ni 0.0000 0.0000 3.4683
Ni 3.6675 3.6675 0.0000
B 0.0000 0.0000 0.0000
B 0.2936 6.0903 1.6869
B 0.2936 6.0903 5.2497
B 0.6797 4.3472 1.7341
B 0.6797 4.3472 5.2024
B 1.2447 0.2936 1.6869
B 1.2447 0.2936 5.2497
B 2.4228 3.9611 1.7814
B 2.4228 3.9611 5.1552
B 2.9877 0.6797 1.7341
B 2.9877 0.6797 5.2024
B 3.3739 2.4228 1.7814
B 3.3739 2.4228 5.1552
B 3.6675 3.6675 3.4683
B 3.9611 4.9121 1.7814
B 3.9611 4.9121 5.1552
B 4.3472 6.6552 1.7341
B 4.3472 6.6552 5.2024
B 4.9121 3.3739 1.7814
B 4.9121 3.3739 5.1552
B 6.0903 7.0414 1.6869
B 6.0903 7.0414 5.2497
B 6.6552 2.9877 1.7341
B 6.6552 2.9877 5.2024
B 7.0414 1.2447 1.6869
B 7.0414 1.2447 5.2497
```

Largest 6 diffraction maxima, in order of rising 2θ, 15 to 90 degrees two-theta:
2θ/deg, Rel. int.
24.27, 369
25.69, 586
27.19, 948
35.63, 378
37.75, 1000
58.29, 390

---

No. 2
BaCdIn: simulated powder diffraction line list (Cu Kα), based on a cell relaxed with GGA-PBE.
Peak positions follow from Bragg's law for the DFT cell and can differ from measured ones.

Crystal structure
```
12
Lattice="5.2376 0.0000 0.0000 0.0000 8.6872 0.0000 0.0000 0.0000 8.6001" Properties=species:S:1:pos:R:3 pbc="T T T"
Ba 1.3094 1.7300 0.0000
Ba 1.3094 2.6136 4.3000
Ba 3.9282 6.0736 4.3000
Ba 3.9282 6.9572 0.0000
Cd 1.3094 5.1017 7.0269
Cd 1.3094 7.9291 2.7268
Cd 3.9282 0.7581 2.7268
Cd 3.9282 3.5855 7.0269
In 1.3094 5.1173 1.5783
In 1.3094 7.9135 5.8784
In 3.9282 0.7737 5.8784
In 3.9282 3.5699 1.5783
```

Largest 6 diffraction maxima, in order of rising 2θ, 15 to 90 degrees two-theta:
2θ/deg, Rel. int.
28.65, 630
28.76, 1000
29.22, 344
32.90, 432
34.24, 488
35.42, 633

---

No. 3
Ni8W7: simulated powder diffraction line list (Cu Kα), based on a cell relaxed with GGA-PBE.
Peak positions follow from Bragg's law for the DFT cell and can differ from measured ones.

Crystal structure
```
30
Lattice="9.2473 0.0000 0.0000 0.0000 9.2473 0.0000 0.0000 0.0000 4.7423" Properties=species:S:1:pos:R:3 pbc="T T T"
Ni 0.3161 3.4410 0.0000
Ni 1.1826 4.9398 2.3711
Ni 1.6750 7.5724 1.1705
Ni 1.6750 7.5724 3.5718
Ni 2.9487 2.9487 1.2006
Ni 2.9487 2.9487 3.5416
Ni 3.4410 0.3161 0.0000
Ni 4.3075 8.0647 2.3711
Ni 4.9398 1.1826 2.3711
Ni 5.8063 8.9312 0.0000
Ni 6.2986 6.2986 1.2006
Ni 6.2986 6.2986 3.5416
Ni 7.5724 1.6750 1.1705
Ni 7.5724 1.6750 3.5718
Ni 8.0647 4.3075 2.3711
Ni 8.9312 5.8063 0.0000
W 0.0000 0.0000 2.3711
W 0.5874 2.5341 2.3711
W 1.0041 1.0041 0.0000
W 2.0896 5.2111 0.0000
W 2.5341 0.5874 2.3711
W 3.6195 5.6278 2.3711
W 4.0363 7.1577 0.0000
W 4.6237 4.6237 0.0000
W 5.2111 2.0896 0.0000
W 5.6278 3.6195 2.3711
W 6.7133 8.6599 2.3711
W 7.1577 4.0363 0.0000
W 8.2432 8.2432 0.0000
W 8.6599 6.7133 2.3711
```

Largest 6 diffraction maxima, in order of rising 2θ, 15 to 90 degrees two-theta:
2θ/deg, Rel. int.
37.95, 393
40.21, 581
44.02, 508
44.70, 1000
45.82, 571
73.26, 294

---

No. 4
KSmNiSe4: simulated powder diffraction line list (Cu Kα), based on a cell relaxed with GGA-PBE.
Peak positions follow from Bragg's law for the DFT cell and can differ from measured ones.

Crystal structure
```
14
Lattice="6.5913 0.0000 0.0000 0.0000 6.1293 0.0000 -3.1025 0.0000 8.9874" Properties=species:S:1:pos:R:3 pbc="T T T"
K 0.2285 0.0000 3.9347
K 3.2603 3.0647 5.0527
Sm -1.2657 6.1123 8.5481
Sm 4.7545 3.0476 0.4394
Ni 1.2230 3.0262 1.6316
Ni 2.2658 6.0909 7.3558
Se -0.4924 3.0639 3.0978
Se -2.1261 3.0369 8.3425
Se 0.6484 4.4921 6.9381
Se 0.6679 1.5844 6.9489
Se 2.8209 4.6490 2.0385
Se 2.8405 1.4274 2.0493
Se 5.6149 6.1016 0.6450
Se 3.9812 6.1285 5.8896
```

Largest 6 diffraction maxima, in order of rising 2θ, 15 to 90 degrees two-theta:
2θ/deg, Rel. int.
28.02, 520
29.09, 944
31.66, 635
32.58, 1000
37.88, 439
41.32, 441

---

No. 5
K2ZrH6O6: simulated powder diffraction line list (Cu Kα), based on a cell relaxed with GGA-PBE.
Peak positions follow from Bragg's law for the DFT cell and can differ from measured ones.

Crystal structure
```
15
Lattice="3.2045 1.8501 4.5745 -3.2045 1.8501 4.5745 0.0000 -3.7002 4.5745" Properties=species:S:1:pos:R:3 pbc="T T T"
K 0.0000 0.0000 2.2996
K 0.0000 0.0000 11.4239
Zr 0.0000 0.0000 6.8618
H -1.8102 0.0237 4.6961
H 0.8845 -1.5795 4.6961
H -0.9256 -1.5558 9.0274
H 0.9256 1.5558 4.6961
H -0.8845 1.5795 9.0274
H 1.8102 -0.0237 9.0274
O -1.7344 0.0445 5.6651
O -0.9058 -1.4798 8.0584
O 0.8286 -1.5243 5.6651
O -0.8287 1.5243 8.0584
O 0.9058 1.4798 5.6651
O 1.7344 -0.0445 8.0584
```

Largest 6 diffraction maxima, in order of rising 2θ, 15 to 90 degrees two-theta:
2θ/deg, Rel. int.
17.23, 407
19.40, 458
27.84, 371
34.16, 1000
48.93, 380
49.25, 237

---

No. 6
RbDyInSe3: simulated powder diffraction line list (Cu Kα), based on a cell relaxed with GGA-PBE.
Peak positions follow from Bragg's law for the DFT cell and can differ from measured ones.

Crystal structure
```
12
Lattice="2.1159 -7.9553 0.0000 2.1159 7.9553 0.0000 0.0000 0.0000 11.7014" Properties=species:S:1:pos:R:3 pbc="T T T"
Rb 2.1159 4.4926 8.7760
Rb 2.1159 -4.4926 2.9253
Dy 2.1159 0.0000 0.0000
Dy 2.1159 0.0000 5.8507
In 2.1159 6.6455 2.9253
In 2.1159 -6.6455 8.7760
Se 2.1159 5.9977 0.2361
Se 2.1159 5.9977 5.6146
Se 2.1159 0.4990 2.9253
Se 2.1159 -0.4990 8.7760
Se 2.1159 -5.9977 6.0868
Se 2.1159 -5.9977 11.4653
```

Largest 6 diffraction maxima, in order of rising 2θ, 15 to 90 degrees two-theta:
2θ/deg, Rel. int.
26.95, 1000
28.03, 760
30.56, 840
35.29, 410
41.19, 609
42.74, 355

---

No. 7
PrCoSb3: simulated powder diffraction line list (Cu Kα), based on a cell relaxed with GGA-PBE.
Peak positions follow from Bragg's law for the DFT cell and can differ from measured ones.

Crystal structure
```
40
Lattice="12.8575 0.0000 0.0000 0.0000 6.1719 0.0000 0.0000 0.0000 12.1464" Properties=species:S:1:pos:R:3 pbc="T T T"
Pr 2.5388 1.3919 3.0366
Pr 2.5388 1.6941 9.1098
Pr 2.5829 4.6289 0.0000
Pr 2.5829 4.6289 6.0732
Pr 10.2746 1.5430 0.0000
Pr 10.2746 1.5430 6.0732
Pr 10.3187 4.4778 3.0366
Pr 10.3187 4.7800 9.1098
Co 5.1772 0.2317 7.7212
Co 5.1772 0.2317 10.4984
Co 5.1772 2.8543 1.6480
Co 5.1772 2.8543 4.4252
Co 7.6803 3.3177 7.7212
Co 7.6803 3.3177 10.4984
Co 7.6803 5.9402 1.6480
Co 7.6803 5.9402 4.4252
Sb 0.0282 0.0778 7.5812
Sb 0.0282 0.0778 10.6384
Sb 0.0282 3.0082 1.5080
Sb 0.0282 3.0082 4.5652
Sb 3.6373 1.5430 0.0000
Sb 3.6373 1.5430 6.0732
Sb 3.7112 4.5246 3.0366
Sb 3.7112 4.7333 9.1098
Sb 5.7192 0.7131 3.0366
Sb 5.7192 2.3729 9.1098
Sb 6.0706 4.6289 0.0000
Sb 6.0706 4.6289 6.0732
Sb 6.7868 1.5430 0.0000
Sb 6.7868 1.5430 6.0732
Sb 7.1382 3.7990 3.0366
Sb 7.1382 5.4589 9.1098
Sb 9.1463 1.4387 3.0366
Sb 9.1463 1.6473 9.1098
Sb 9.2201 4.6289 0.0000
Sb 9.2201 4.6289 6.0732
Sb 12.8292 3.1638 7.5812
Sb 12.8292 3.1638 10.6384
Sb 12.8292 6.0941 1.5080
Sb 12.8292 6.0941 4.5652
```

Largest 6 diffraction maxima, in order of rising 2θ, 15 to 90 degrees two-theta:
2θ/deg, Rel. int.
27.75, 288
32.18, 621
32.61, 463
34.76, 1000
36.26, 316
41.73, 738

---

No. 8
NbTeNO: simulated powder diffraction line list (Cu Kα), based on a cell relaxed with GGA-PBE.
Peak positions follow from Bragg's law for the DFT cell and can differ from measured ones.

Crystal structure
```
16
Lattice="6.7207 0.0000 0.0000 0.0000 7.6080 0.0000 0.0000 0.0000 5.9161" Properties=species:S:1:pos:R:3 pbc="T T T"
Nb 0.7534 0.4149 0.0000
Nb 2.6069 0.4149 2.9580
Nb 4.1138 7.1930 0.0000
Nb 5.9673 7.1930 2.9580
Te 1.4127 5.0674 5.8419
Te 1.9476 5.0674 2.8839
Te 4.7731 2.5406 5.8419
Te 5.3080 2.5406 2.8839
N 0.8625 0.4064 3.8960
N 2.4978 0.4064 0.9380
N 4.2229 7.2015 3.8960
N 5.8582 7.2015 0.9380
O 0.0604 2.2113 0.2370
O 3.2999 2.2113 3.1950
O 3.4208 5.3967 0.2370
O 6.6603 5.3967 3.1950
```

Largest 6 diffraction maxima, in order of rising 2θ, 15 to 90 degrees two-theta:
2θ/deg, Rel. int.
17.61, 754
26.93, 1000
30.21, 856
30.60, 709
35.40, 398
40.92, 628